Entry 1:
Diffraction record for LiTb2Ga4Au3. The X-ray diffraction stick pattern is computed, not measured: it uses a DFT-relaxed cell (PBE, Alexandria) and copper Kα.
Neutral-atom scattering factors, no anomalous dispersion.

Cell and atoms:
```
data_LiTb2Ga4Au3
_symmetry_space_group_name_H-M 'P 1'
_symmetry_Int_Tables_number 1
_symmetry_space_group_name_Hall 'P 1'
_cell_length_a 4.158
_cell_length_b 4.158
_cell_length_c 11.405
_cell_angle_alpha 90.00
_cell_angle_beta 90.00
_cell_angle_gamma 90.00
loop_
_atom_site_label
_atom_site_type_symbol
_atom_site_fract_x
_atom_site_fract_y
_atom_site_fract_z
Li1 Li 0.000 0.000 0.000
Tb1 Tb 0.000 0.500 0.750
Tb2 Tb 0.500 0.000 0.250
Ga1 Ga 0.000 0.000 0.500
Ga2 Ga 0.000 0.500 0.136
Ga3 Ga 0.500 0.000 0.864
Ga4 Ga 0.500 0.500 0.500
Au1 Au 0.000 0.500 0.358
Au2 Au 0.500 0.000 0.642
Au3 Au 0.500 0.500 0.000
```

Top 10 peaks for 5° ≤ 2θ ≤ 70°, sorted by position:
2theta  I (rel.)  (hkl)
22.8  22  1 0 1
26.5  30  1 0 2
30.4  30  1 1 0
31.9  74  1 0 3
34.3  100  1 1 2
43.5  64  2 0 0
44.3  25  1 1 4
45.3  57  1 0 5
55.0  32  2 1 3
64.7  39  2 1 5



Entry 2:
Diffraction record for Rb2CuCl4O2. The X-ray diffraction stick pattern is computed, not measured: it uses a DFT-relaxed cell (PBE, Alexandria) and copper Kα.
Neutral-atom scattering factors, no anomalous dispersion.

Cell and atoms:
```
data_Rb2CuCl4O2
_symmetry_space_group_name_H-M 'P 1'
_symmetry_Int_Tables_number 1
_symmetry_space_group_name_Hall 'P 1'
_cell_length_a 7.024
_cell_length_b 7.024
_cell_length_c 9.596
_cell_angle_alpha 90.00
_cell_angle_beta 90.00
_cell_angle_gamma 90.00
loop_
_atom_site_label
_atom_site_type_symbol
_atom_site_fract_x
_atom_site_fract_y
_atom_site_fract_z
Rb1 Rb 0.000 0.500 0.250
Rb2 Rb 0.000 0.500 0.750
Rb3 Rb 0.500 0.000 0.250
Rb4 Rb 0.500 0.000 0.750
Cu1 Cu 0.000 0.000 0.000
Cu2 Cu 0.500 0.500 0.500
Cl1 Cl 0.230 0.230 0.000
Cl2 Cl 0.237 0.237 0.500
Cl3 Cl 0.263 0.737 0.000
Cl4 Cl 0.270 0.730 0.500
Cl5 Cl 0.730 0.270 0.500
Cl6 Cl 0.737 0.263 0.000
Cl7 Cl 0.763 0.763 0.500
Cl8 Cl 0.770 0.770 0.000
O1 O 0.000 0.000 0.182
O2 O 0.000 0.000 0.818
O3 O 0.500 0.500 0.318
O4 O 0.500 0.500 0.682
```

Top 10 peaks for 5° ≤ 2θ ≤ 70°, sorted by position:
2theta  I (rel.)  (hkl)
15.6  52  1 0 1
25.4  19  2 0 0
25.8  100  1 1 2
31.6  87  2 0 2
36.2  71  2 2 0
37.5  27  0 0 4
45.0  42  3 1 2
52.1  22  4 0 0
53.1  36  2 2 4
62.2  19  4 2 2